This entry pairs a crystal structure of V2Bi8O17 with its simulated XRD peak list. Radiation: CuKα. Structure: a structure optimized by DFT (GGA+U).
Kinematic intensities with the Lorentz-polarization factor, no thermal factor.

Peak list (6 most intense, 10° ≤ 2θ ≤ 90°, low angle first)
(1 -1 2), 21.7°, rel. 775; (0 1 2), 22.8°, rel. 980; (-1 1 2), 24.0°, rel. 1000; (1 0 3), 27.7°, rel. 823; (1 -2 2), 29.8°, rel. 740; (1 1 -4), 32.3°, rel. 694

Atomic structure:
Cell lengths 6.283, 6.596, 12.806 Å; angles 103.74, 94.09, 102.72 degrees
Sites, in units of the cell vectors:
V 0.000 0.000 0.000
V 0.011 0.947 0.518
Bi 0.062 0.592 0.171
Bi 0.143 0.428 0.907
Bi 0.495 0.995 0.098
Bi 0.552 0.916 0.697
Bi 0.607 0.601 0.344
Bi 0.648 0.565 0.845
Bi 0.920 0.217 0.329
Bi 0.995 0.521 0.636
O 0.103 0.221 0.538
O 0.105 0.012 0.129
O 0.199 0.844 0.585
O 0.212 0.058 0.927
O 0.239 0.459 0.275
O 0.336 0.632 0.732
O 0.351 0.647 0.060
O 0.647 0.941 0.242
O 0.694 0.913 0.955
O 0.735 0.878 0.549
O 0.748 0.412 0.441
O 0.753 0.389 0.222
O 0.792 0.746 0.739
O 0.850 0.338 0.760
O 0.963 0.297 0.026
O 0.963 0.680 0.951
O 0.983 0.840 0.379